Structure and theoretical powder diffractogram of Pu2NpTc3 (a GGA-PBE-relaxed structure; copper Kα).

Peak list (10 most intense, 2θ from 10° to 90°, in order of rising 2θ)
- 30.96 deg, I = 82
- 35.14 deg, I = 18
- 36.72 deg, I = 25
- 38.58 deg, I = 100
- 39.07 deg, I = 40
- 42.10 deg, I = 52
- 60.21 deg, I = 28
- 62.80 deg, I = 33
- 64.53 deg, I = 29
- 74.27 deg, I = 18

Atomic structure:
```
data_Pu2NpTc3
_chemical_formula_sum 'Pu2 Np1 Tc3'
_space_group_name_H-M_alt 'P 1'
_space_group_IT_number 1
_cell_length_a 5.1777
_cell_length_b 5.1777
_cell_length_c 5.1777
_cell_angle_alpha 67.81
_cell_angle_beta 67.81
_cell_angle_gamma 67.81
loop_
_space_group_symop_operation_xyz
'x,y,z'
loop_
_atom_site_label
_atom_site_fract_x
_atom_site_fract_y
_atom_site_fract_z
Pu1 0.1190 0.1190 0.1190
Pu2 0.8810 0.8810 0.8810
Np1 0.5000 0.5000 0.5000
Tc1 0.0000 0.5000 0.5000
Tc2 0.5000 0.0000 0.5000
Tc3 0.5000 0.5000 0.0000
```



Structure and theoretical powder diffractogram of Sr3Tl2Cl8 (a GGA-PBE-relaxed structure; copper Kα).

Peak list (10 most intense, 2θ from 10° to 90°, in order of rising 2θ)
- 15.58 deg, I = 52
- 18.57 deg, I = 93
- 20.13 deg, I = 67
- 20.94 deg, I = 99
- 23.52 deg, I = 68
- 29.62 deg, I = 45
- 31.02 deg, I = 44
- 35.65 deg, I = 48
- 37.25 deg, I = 100
- 41.41 deg, I = 66

Atomic structure:
```
data_Sr3Tl2Cl8
_chemical_formula_sum 'Sr3 Tl2 Cl8'
_space_group_name_H-M_alt 'P 1'
_space_group_IT_number 1
_cell_length_a 8.9161
_cell_length_b 8.9161
_cell_length_c 7.5209
_cell_angle_alpha 106.82
_cell_angle_beta 106.82
_cell_angle_gamma 59.46
loop_
_space_group_symop_operation_xyz
'x,y,z'
loop_
_atom_site_label
_atom_site_fract_x
_atom_site_fract_y
_atom_site_fract_z
Sr1 0.0000 0.0000 0.0000
Sr2 0.2583 0.7417 0.5000
Sr3 0.7417 0.2583 0.5000
Tl1 0.2785 0.2785 0.8512
Tl2 0.7215 0.7215 0.1488
Cl1 0.1009 0.1009 0.4070
Cl2 0.1118 0.6649 0.1054
Cl3 0.3352 0.8882 0.8946
Cl4 0.3908 0.3908 0.5666
Cl5 0.6092 0.6092 0.4334
Cl6 0.6649 0.1118 0.1054
Cl7 0.8882 0.3352 0.8946
Cl8 0.8991 0.8991 0.5930
```



Structure and theoretical powder diffractogram of K2NbPdO4 (a GGA-PBE-relaxed structure; copper Kα).

Peak list (10 most intense, 2θ from 10° to 90°, in order of rising 2θ)
- 18.79 deg, I = 53
- 27.98 deg, I = 59
- 32.29 deg, I = 100
- 33.91 deg, I = 15
- 39.98 deg, I = 30
- 52.29 deg, I = 53
- 60.13 deg, I = 18
- 65.43 deg, I = 14
- 67.59 deg, I = 11
- 81.71 deg, I = 12

Atomic structure:
```
data_K2NbPdO4
_chemical_formula_sum 'K4 Nb2 Pd2 O8'
_space_group_name_H-M_alt 'P 1'
_space_group_IT_number 1
_cell_length_a 6.3788
_cell_length_b 6.3788
_cell_length_c 7.0278
_cell_angle_alpha 90.00
_cell_angle_beta 90.00
_cell_angle_gamma 90.00
loop_
_space_group_symop_operation_xyz
'x,y,z'
loop_
_atom_site_label
_atom_site_fract_x
_atom_site_fract_y
_atom_site_fract_z
K1 0.0000 0.0000 0.0000
K2 0.0000 0.5000 0.2500
K3 0.5000 0.0000 0.7500
K4 0.5000 0.5000 0.5000
Nb1 0.0000 0.5000 0.7500
Nb2 0.5000 0.0000 0.2500
Pd1 0.0000 0.0000 0.5000
Pd2 0.5000 0.5000 0.0000
O1 0.1409 0.6911 0.5885
O2 0.1911 0.3591 0.9115
O3 0.3089 0.1409 0.4115
O4 0.3591 0.8089 0.0885
O5 0.6409 0.1911 0.0885
O6 0.6911 0.8591 0.4115
O7 0.8089 0.6409 0.9115
O8 0.8591 0.3089 0.5885
```



Structure and theoretical powder diffractogram of AlTl8Se6 (a GGA-PBE-relaxed structure; copper Kα).

Peak list (10 most intense, 2θ from 10° to 90°, in order of rising 2θ)
- 12.02 deg, I = 33
- 24.18 deg, I = 71
- 25.28 deg, I = 100
- 28.95 deg, I = 60
- 31.47 deg, I = 87
- 32.22 deg, I = 75
- 35.36 deg, I = 59
- 37.30 deg, I = 35
- 40.36 deg, I = 39
- 41.97 deg, I = 74

Atomic structure:
```
data_AlTl8Se6
_chemical_formula_sum 'Al2 Tl16 Se12'
_space_group_name_H-M_alt 'P 1'
_space_group_IT_number 1
_cell_length_a 8.9382
_cell_length_b 9.6086
_cell_length_c 11.4523
_cell_angle_alpha 90.00
_cell_angle_beta 90.00
_cell_angle_gamma 90.00
loop_
_space_group_symop_operation_xyz
'x,y,z'
loop_
_atom_site_label
_atom_site_fract_x
_atom_site_fract_y
_atom_site_fract_z
Al1 0.0000 0.2503 0.0000
Al2 0.5000 0.7497 0.5000
Tl1 0.0000 0.7032 0.5298
Tl2 0.0000 0.7275 0.9450
Tl3 0.2077 0.2000 0.6114
Tl4 0.2193 0.0650 0.3247
Tl5 0.2376 0.4452 0.2922
Tl6 0.2624 0.5548 0.7922
Tl7 0.2807 0.9350 0.8247
Tl8 0.2923 0.8000 0.1114
Tl9 0.5000 0.2725 0.4450
Tl10 0.5000 0.2968 0.0298
Tl11 0.7077 0.8000 0.1114
Tl12 0.7193 0.9350 0.8247
Tl13 0.7376 0.5548 0.7922
Tl14 0.7624 0.4452 0.2922
Tl15 0.7807 0.0650 0.3247
Tl16 0.7923 0.2000 0.6114
Se1 0.0000 0.0402 0.1170
Se2 0.0000 0.4059 0.4797
Se3 0.0000 0.4709 0.1056
Se4 0.0000 0.9580 0.6704
Se5 0.2261 0.2492 0.8784
Se6 0.2739 0.7508 0.3784
Se7 0.5000 0.0420 0.1704
Se8 0.5000 0.5291 0.6056
Se9 0.5000 0.5941 0.9797
Se10 0.5000 0.9598 0.6170
Se11 0.7261 0.7508 0.3784
Se12 0.7739 0.2492 0.8784
```



Structure and theoretical powder diffractogram of Tb3Pm (a GGA-PBE-relaxed structure; copper Kα).

Peak list (10 most intense, 2θ from 10° to 90°, in order of rising 2θ)
- 28.30 deg, I = 24
- 31.17 deg, I = 25
- 32.40 deg, I = 100
- 42.60 deg, I = 16
- 50.02 deg, I = 7
- 50.16 deg, I = 13
- 56.24 deg, I = 21
- 60.12 deg, I = 8
- 60.24 deg, I = 15
- 60.89 deg, I = 11

Atomic structure:
```
data_Tb3Pm
_chemical_formula_sum 'Tb6 Pm2'
_space_group_name_H-M_alt 'P 1'
_space_group_IT_number 1
_cell_length_a 3.6472
_cell_length_b 11.4785
_cell_length_c 6.2950
_cell_angle_alpha 90.00
_cell_angle_beta 90.00
_cell_angle_gamma 90.00
loop_
_space_group_symop_operation_xyz
'x,y,z'
loop_
_atom_site_label
_atom_site_fract_x
_atom_site_fract_y
_atom_site_fract_z
Tb1 0.0000 0.0000 0.0000
Tb2 0.0000 0.2511 0.6683
Tb3 0.0000 0.7489 0.6683
Tb4 0.5000 0.2489 0.1683
Tb5 0.5000 0.5000 0.5000
Tb6 0.5000 0.7511 0.1683
Pm1 0.0000 0.5000 0.0017
Pm2 0.5000 0.0000 0.5017
```



Structure and theoretical powder diffractogram of Tb4PmAl2 (a GGA-PBE-relaxed structure; copper Kα).

Peak list (10 most intense, 2θ from 10° to 90°, in order of rising 2θ)
- 16.97 deg, I = 24
- 22.92 deg, I = 28
- 29.83 deg, I = 83
- 30.48 deg, I = 100
- 30.87 deg, I = 62
- 31.38 deg, I = 25
- 35.08 deg, I = 34
- 37.18 deg, I = 52
- 48.54 deg, I = 22
- 68.66 deg, I = 25

Atomic structure:
```
data_Tb4PmAl2
_chemical_formula_sum 'Tb4 Pm1 Al2'
_space_group_name_H-M_alt 'P 1'
_space_group_IT_number 1
_cell_length_a 7.8025
_cell_length_b 6.7185
_cell_length_c 6.2352
_cell_angle_alpha 73.97
_cell_angle_beta 55.85
_cell_angle_gamma 50.18
loop_
_space_group_symop_operation_xyz
'x,y,z'
loop_
_atom_site_label
_atom_site_fract_x
_atom_site_fract_y
_atom_site_fract_z
Tb1 0.1611 0.8389 0.1611
Tb2 0.2500 0.2500 0.2500
Tb3 0.7500 0.7500 0.7500
Tb4 0.8389 0.1611 0.8389
Pm1 0.5000 0.5000 0.5000
Al1 0.2272 0.2272 0.7728
Al2 0.7728 0.7728 0.2272
```



Structure and theoretical powder diffractogram of Y2AlPb (a GGA-PBE-relaxed structure; copper Kα).

Peak list (10 most intense, 2θ from 10° to 90°, in order of rising 2θ)
- 16.36 deg, I = 47
- 30.53 deg, I = 11
- 33.07 deg, I = 100
- 36.52 deg, I = 19
- 36.76 deg, I = 19
- 41.64 deg, I = 13
- 52.79 deg, I = 13
- 63.55 deg, I = 15
- 63.88 deg, I = 16
- 69.38 deg, I = 12

Atomic structure:
```
data_Y2AlPb
_chemical_formula_sum 'Y4 Al2 Pb2'
_space_group_name_H-M_alt 'P 1'
_space_group_IT_number 1
_cell_length_a 6.9346
_cell_length_b 8.6756
_cell_length_c 3.4699
_cell_angle_alpha 90.00
_cell_angle_beta 90.37
_cell_angle_gamma 90.00
loop_
_space_group_symop_operation_xyz
'x,y,z'
loop_
_atom_site_label
_atom_site_fract_x
_atom_site_fract_y
_atom_site_fract_z
Y1 0.2500 0.2500 0.0000
Y2 0.2500 0.7500 0.0000
Y3 0.7500 0.2500 0.0000
Y4 0.7500 0.7500 0.0000
Al1 0.0000 0.0000 0.5000
Al2 0.5000 0.5000 0.5000
Pb1 0.0000 0.5000 0.5000
Pb2 0.5000 0.0000 0.5000
```



Structure and theoretical powder diffractogram of SrCa14Tm (a GGA-PBE-relaxed structure; copper Kα).

Peak list (10 most intense, 2θ from 10° to 90°, in order of rising 2θ)
- 14.89 deg, I = 19
- 27.44 deg, I = 68
- 27.88 deg, I = 39
- 30.03 deg, I = 100
- 33.96 deg, I = 39
- 44.50 deg, I = 19
- 46.82 deg, I = 26
- 50.68 deg, I = 23
- 55.38 deg, I = 31
- 56.63 deg, I = 15

Atomic structure:
```
data_SrCa14Tm
_chemical_formula_sum 'Sr1 Ca14 Tm1'
_space_group_name_H-M_alt 'P 1'
_space_group_IT_number 1
_cell_length_a 12.7987
_cell_length_b 7.7609
_cell_length_c 7.7609
_cell_angle_alpha 60.00
_cell_angle_beta 90.00
_cell_angle_gamma 90.00
loop_
_space_group_symop_operation_xyz
'x,y,z'
loop_
_atom_site_label
_atom_site_fract_x
_atom_site_fract_y
_atom_site_fract_z
Sr1 0.0000 0.0000 0.0000
Ca1 0.0000 0.5017 0.9989
Ca2 0.0000 0.9989 0.5017
Ca3 0.2447 0.3353 0.3353
Ca4 0.2486 0.3377 0.8286
Ca5 0.2486 0.8286 0.3377
Ca6 0.2527 0.8327 0.8327
Ca7 0.5000 0.1670 0.1670
Ca8 0.5000 0.1676 0.6653
Ca9 0.5000 0.6653 0.1676
Ca10 0.5000 0.6664 0.6664
Ca11 0.7473 0.8327 0.8327
Ca12 0.7514 0.3377 0.8286
Ca13 0.7514 0.8286 0.3377
Ca14 0.7553 0.3353 0.3353
Tm1 0.0000 0.5003 0.5003
```



Structure and theoretical powder diffractogram of Bi2HF8 (a GGA-PBE-relaxed structure; copper Kα).

Peak list (10 most intense, 2θ from 10° to 90°, in order of rising 2θ)
- 18.25 deg, I = 100
- 19.63 deg, I = 81
- 24.21 deg, I = 73
- 24.53 deg, I = 75
- 26.79 deg, I = 63
- 30.75 deg, I = 48
- 37.37 deg, I = 39
- 40.49 deg, I = 32
- 42.97 deg, I = 32
- 52.10 deg, I = 39

Atomic structure:
```
data_Bi2HF8
_chemical_formula_sum 'Bi2 H1 F8'
_space_group_name_H-M_alt 'P 1'
_space_group_IT_number 1
_cell_length_a 5.7988
_cell_length_b 5.7988
_cell_length_c 4.8604
_cell_angle_alpha 90.45
_cell_angle_beta 90.45
_cell_angle_gamma 77.49
loop_
_space_group_symop_operation_xyz
'x,y,z'
loop_
_atom_site_label
_atom_site_fract_x
_atom_site_fract_y
_atom_site_fract_z
Bi1 0.2061 0.2061 0.4140
Bi2 0.7939 0.7939 0.5860
H1 0.5000 0.5000 0.0000
F1 0.0395 0.0395 0.7474
F2 0.1164 0.5087 0.7168
F3 0.4256 0.4256 0.1911
F4 0.4913 0.8836 0.2832
F5 0.5087 0.1164 0.7168
F6 0.5744 0.5744 0.8089
F7 0.8836 0.4913 0.2832
F8 0.9605 0.9605 0.2526
```



Structure and theoretical powder diffractogram of Bi3AuBr (a GGA-PBE-relaxed structure; copper Kα).

Peak list (10 most intense, 2θ from 10° to 90°, in order of rising 2θ)
- 10.41 deg, I = 62
- 27.20 deg, I = 30
- 29.34 deg, I = 100
- 31.02 deg, I = 13
- 31.75 deg, I = 14
- 31.99 deg, I = 16
- 39.69 deg, I = 21
- 41.68 deg, I = 15
- 42.26 deg, I = 19
- 53.99 deg, I = 17

Atomic structure:
```
data_Bi3AuBr
_chemical_formula_sum 'Bi12 Au4 Br4'
_space_group_name_H-M_alt 'P 1'
_space_group_IT_number 1
_cell_length_a 9.8694
_cell_length_b 9.8694
_cell_length_c 7.4908
_cell_angle_alpha 93.50
_cell_angle_beta 93.50
_cell_angle_gamma 120.15
loop_
_space_group_symop_operation_xyz
'x,y,z'
loop_
_atom_site_label
_atom_site_fract_x
_atom_site_fract_y
_atom_site_fract_z
Bi1 0.0812 0.6924 0.5122
Bi2 0.1487 0.5211 0.8610
Bi3 0.2941 0.4366 0.3900
Bi4 0.3076 0.9188 0.9878
Bi5 0.4366 0.2941 0.8900
Bi6 0.4789 0.8513 0.6390
Bi7 0.5211 0.1487 0.3610
Bi8 0.5634 0.7059 0.1100
Bi9 0.6924 0.0812 0.0122
Bi10 0.7059 0.5634 0.6100
Bi11 0.8513 0.4789 0.1390
Bi12 0.9188 0.3076 0.4878
Au1 0.2945 0.7055 0.2500
Au2 0.4393 0.5607 0.7500
Au3 0.5607 0.4393 0.2500
Au4 0.7055 0.2945 0.7500
Br1 0.0753 0.2145 0.9988
Br2 0.2145 0.0753 0.4988
Br3 0.7855 0.9247 0.5012
Br4 0.9247 0.7855 0.0012
```



Structure and theoretical powder diffractogram of KNa2AlH6 (a GGA-PBE-relaxed structure; copper Kα).

Peak list (10 most intense, 2θ from 10° to 90°, in order of rising 2θ)
- 25.33 deg, I = 6
- 32.16 deg, I = 100
- 32.27 deg, I = 20
- 46.03 deg, I = 8
- 46.21 deg, I = 15
- 57.30 deg, I = 17
- 57.40 deg, I = 17
- 57.53 deg, I = 6
- 67.25 deg, I = 6
- 76.66 deg, I = 7

Atomic structure:
```
data_KNa2AlH6
_chemical_formula_sum 'K2 Na4 Al2 H12'
_space_group_name_H-M_alt 'P 1'
_space_group_IT_number 1
_cell_length_a 5.5481
_cell_length_b 5.5642
_cell_length_c 7.8868
_cell_angle_alpha 90.00
_cell_angle_beta 90.14
_cell_angle_gamma 90.00
loop_
_space_group_symop_operation_xyz
'x,y,z'
loop_
_atom_site_label
_atom_site_fract_x
_atom_site_fract_y
_atom_site_fract_z
K1 0.2443 0.0000 0.4976
K2 0.7557 0.5000 0.5024
Na1 0.2443 0.9621 0.9997
Na2 0.2586 0.4856 0.7557
Na3 0.7414 0.9856 0.2443
Na4 0.7557 0.4621 0.0003
Al1 0.2374 0.4886 0.2346
Al2 0.7626 0.9886 0.7654
H1 0.0092 0.7948 0.7395
H2 0.0489 0.7383 0.2648
H3 0.1767 0.5070 0.0193
H4 0.2858 0.4814 0.4599
H5 0.4289 0.2355 0.2049
H6 0.4907 0.6803 0.2085
H7 0.5093 0.1803 0.7915
H8 0.5711 0.7355 0.7951
H9 0.7142 0.9814 0.5401
H10 0.8233 0.0070 0.9807
H11 0.9511 0.2383 0.7352
H12 0.9908 0.2948 0.2605
```



Structure and theoretical powder diffractogram of Tb4TmMg (a GGA-PBE-relaxed structure; copper Kα).

Peak list (10 most intense, 2θ from 10° to 90°, in order of rising 2θ)
- 28.01 deg, I = 9
- 31.35 deg, I = 100
- 35.71 deg, I = 36
- 37.64 deg, I = 14
- 51.40 deg, I = 14
- 52.85 deg, I = 21
- 61.44 deg, I = 32
- 64.04 deg, I = 10
- 65.43 deg, I = 11
- 86.46 deg, I = 9

Atomic structure:
```
data_Tb4TmMg
_chemical_formula_sum 'Tb4 Tm1 Mg1'
_space_group_name_H-M_alt 'P 1'
_space_group_IT_number 1
_cell_length_a 3.5559
_cell_length_b 3.5559
_cell_length_c 14.3391
_cell_angle_alpha 90.00
_cell_angle_beta 90.00
_cell_angle_gamma 90.00
loop_
_space_group_symop_operation_xyz
'x,y,z'
loop_
_atom_site_label
_atom_site_fract_x
_atom_site_fract_y
_atom_site_fract_z
Tb1 0.0000 0.0000 0.1545
Tb2 0.0000 0.0000 0.8455
Tb3 0.5000 0.5000 0.3267
Tb4 0.5000 0.5000 0.6733
Tm1 0.0000 0.0000 0.5000
Mg1 0.5000 0.5000 0.0000
```